Simulated X-ray diffraction stick pattern
Compound: KGaCuF6
Radiation: Cu Kα
Structure: a PBE-relaxed structure

Largest 10 diffraction maxima, low angle first, 10 to 80 degrees two-theta:
d (Å)	2theta	I_rel
5.726	15.48	100.0
5.415	16.37	88.0
3.104	28.76	37.2
3.035	29.43	92.2
2.928	30.53	75.5
2.917	30.65	43.7
2.873	31.12	65.6
2.863	31.24	77.9
2.707	33.09	34.5
1.784	51.19	38.3

Atomic structure:
Lattice parameters (Å, degrees): 7.1461 9.5889 6.5688 90.00 92.73 90.00
Sites, in units of the cell vectors:
K 0.2416 0.1180 0.4923
K 0.2416 0.3820 0.9923
K 0.7584 0.6180 0.0077
K 0.7584 0.8820 0.5077
Ga 0.0000 0.0000 0.0000
Ga 0.0000 0.5000 0.5000
Ga 0.5000 0.0000 0.0000
Ga 0.5000 0.5000 0.5000
Cu 0.2542 0.7356 0.8284
Cu 0.2542 0.7644 0.3284
Cu 0.7458 0.2356 0.6716
Cu 0.7458 0.2644 0.1716
F 0.0328 0.1741 0.1266
F 0.0328 0.3259 0.6266
F 0.0697 0.5825 0.7538
F 0.0697 0.9175 0.2538
F 0.2463 0.0156 0.9016
F 0.2463 0.4844 0.4016
F 0.2468 0.6621 0.0889
F 0.2468 0.8379 0.5889
F 0.4407 0.5544 0.7617
F 0.4407 0.9456 0.2617
F 0.4925 0.1886 0.0933
F 0.4925 0.3114 0.5933
F 0.5075 0.6886 0.4067
F 0.5075 0.8114 0.9067
F 0.5593 0.0544 0.7383
F 0.5593 0.4456 0.2383
F 0.7532 0.1621 0.4111
F 0.7532 0.3379 0.9111
F 0.7537 0.5156 0.5984
F 0.7537 0.9844 0.0984
F 0.9303 0.0825 0.7462
F 0.9303 0.4175 0.2462
F 0.9672 0.6741 0.3734
F 0.9672 0.8259 0.8734